Diffraction record for MnH7C3NO6. The X-ray diffraction stick pattern is simulated, not measured: it uses a PBE+U-relaxed structure and Cu Ka.
Neutral-atom scattering factors, no anomalous dispersion.

Crystal structure
```
MnH7C3NO6
1.0
6.543 -3.706 0.000
6.543 3.706 0.000
-0.232 0.000 8.578
Mn H C N O
2 14 6 2 12
direct
0.166 0.166 0.250 Mn
0.834 0.834 0.750 Mn
0.080 0.920 0.000 H
0.083 0.496 0.499 H
0.349 0.585 0.722 H
0.415 0.651 0.278 H
0.417 0.432 0.222 H
0.503 0.078 0.001 H
0.504 0.917 0.501 H
0.529 0.396 0.842 H
0.568 0.583 0.778 H
0.578 0.392 0.657 H
0.604 0.471 0.158 H
0.608 0.422 0.343 H
0.922 0.497 0.999 H
0.923 0.077 0.500 H
0.068 0.500 0.002 C
0.072 0.928 0.500 C
0.500 0.932 0.998 C
0.501 0.067 0.501 C
0.930 0.070 0.000 C
0.933 0.499 0.499 C
0.505 0.491 0.750 N
0.509 0.495 0.250 N
0.088 0.609 0.902 O
0.099 0.798 0.604 O
0.202 0.394 0.108 O
0.202 0.901 0.396 O
0.389 0.198 0.399 O
0.391 0.912 0.098 O
0.606 0.798 0.892 O
0.610 0.094 0.604 O
0.795 0.096 0.897 O
0.802 0.611 0.601 O
0.904 0.205 0.103 O
0.906 0.390 0.396 O
```

The 6 most intense peaks (10° ≤ 2θ ≤ 80°), in order of falling intensity:
two_theta  d (Å)  I (rel.)
17.3  5.126  100
17.1  5.188  68
26.1  3.408  40
16.8  5.270  35
31.3  2.860  27
31.9  2.804  26